# 1
Starting from a structure optimized by DFT (PBE), the PXRD pattern of Sc2Zn3Cu4 was computed for Cu Kα X-rays.

Cell and atoms:
a b c (Å): 4.396 4.396 8.157
angles (deg): 92.82 92.82 58.89
Element x y z (fractional)
Sc1 0.174 0.174 0.225
Sc2 0.826 0.826 0.775
Zn1 0.155 0.155 0.580
Zn2 0.500 0.500 0.000
Zn3 0.845 0.845 0.420
Cu1 0.163 0.163 0.901
Cu2 0.485 0.485 0.646
Cu3 0.515 0.515 0.354
Cu4 0.837 0.837 0.099

The 10 most intense peaks (2θ from 10° to 80°), in order of rising 2θ:
| 2θ/deg | Rel. int. |
| --- | --- |
| 40.43 | 98 |
| 41.13 | 100 |
| 41.84 | 93 |
| 57.38 | 15 |
| 60.67 | 27 |
| 73.48 | 16 |
| 75.05 | 10 |
| 75.40 | 14 |
| 75.87 | 14 |
| 76.47 | 12 |

# 2
Starting from a structure optimized by DFT (PBE), the PXRD pattern of Zr5ScCu6 was computed for Cu Kα X-rays.

Cell and atoms:
a b c (Å): 7.974 7.974 4.620
angles (deg): 106.77 106.77 48.89
Element x y z (fractional)
Zr1 0.000 0.000 0.000
Zr2 0.159 0.159 0.659
Zr3 0.326 0.326 0.326
Zr4 0.674 0.674 0.674
Zr5 0.841 0.841 0.341
Sc1 0.500 0.500 0.000
Cu1 0.101 0.568 0.833
Cu2 0.281 0.719 0.500
Cu3 0.432 0.899 0.167
Cu4 0.568 0.101 0.833
Cu5 0.719 0.281 0.500
Cu6 0.899 0.432 0.167

The 10 most intense peaks (2θ from 10° to 80°), in order of rising 2θ:
| 2θ/deg | Rel. int. |
| --- | --- |
| 35.25 | 4 |
| 38.86 | 100 |
| 38.99 | 26 |
| 39.26 | 25 |
| 55.72 | 8 |
| 56.52 | 16 |
| 70.09 | 7 |
| 70.27 | 7 |
| 70.53 | 16 |
| 70.89 | 14 |

# 3
Starting from a structure optimized by DFT (PBE), the PXRD pattern of ZrScCu was computed for Cu Kα X-rays.

Cell and atoms:
a b c (Å): 3.203 3.203 11.409
angles (deg): 90.00 90.00 90.00
Element x y z (fractional)
Zr1 0.000 0.000 0.000
Zr2 0.500 0.500 0.500
Sc1 0.000 0.000 0.694
Sc2 0.500 0.500 0.194
Cu1 0.000 0.000 0.345
Cu2 0.500 0.500 0.845

The 10 most intense peaks (2θ from 10° to 80°), in order of rising 2θ:
| 2θ/deg | Rel. int. |
| --- | --- |
| 15.53 | 11 |
| 28.96 | 8 |
| 36.68 | 100 |
| 39.80 | 41 |
| 47.83 | 10 |
| 49.02 | 5 |
| 57.55 | 13 |
| 63.93 | 16 |
| 70.22 | 27 |
| 78.01 | 9 |